[1]
Starting from a PBE-relaxed structure, the XRD peak list of La7OsBr12 was computed for Cu Kα (weighted mean of Kα1 and Kα2).

Peak list (8 most intense, 2θ = 10–90°, in order of rising 2θ)
two_theta  d/Å  I/Imax  index
10.31  8.582  30.4  1 0 1
11.36  7.789  52.9  1 1 0
28.76  3.104  100.0  3 1 2
40.41  2.232  37.6  4 -3 4
41.82  2.160  34.3  2 5 0
51.54  1.773  17.2  8 -6 2
66.46  1.407  12.4  7 -2 6
68.45  1.371  14.4  10 -1 2

Structural model:
Cell lengths 15.5775, 15.5775, 11.1233 Å; angles 90.00, 90.00, 120.00 degrees
Space group R-3 (No. 148, hexagonal axes)
Asymmetric unit:
La  0.0000  0.0000  0.0000 [3 per cell]
La  0.0383  0.1657  0.3557 [18 per cell]
Os  0.0000  0.0000  0.5000 [3 per cell]
Br  0.0231  0.5846  0.1535 [18 per cell]
Br  0.0406  0.1664  0.8344 [18 per cell]

---

[2]
Starting from a PBE-relaxed structure, the XRD peak list of La3OsBr3 was computed for Cu Kα (weighted mean of Kα1 and Kα2).

Peak list (8 most intense, 2θ = 10–90°, in order of rising 2θ)
two_theta  d/Å  I/Imax  index
11.71  7.556  24.2  1 0 -1
28.39  3.144  100.0  2 1 0
29.33  3.045  43.5  0 0 4
39.48  2.282  15.9  4 0 0
40.25  2.240  31.7  2 1 -4
41.66  2.168  19.0  0 2 0
42.28  2.137  32.8  2 1 4
51.76  1.766  17.7  0 2 4

Structural model:
Cell lengths 9.1504, 4.3361, 12.2085 Å; angles 90.00, 93.91, 90.00 degrees
Space group P2_1/m (No. 11)
Asymmetric unit:
La  0.0990  0.2500  0.3906 [2 per cell]
La  0.1256  0.2500  0.8437 [2 per cell]
La  0.3288  0.7500  0.6263 [2 per cell]
Os  0.1198  0.2500  0.6296 [2 per cell]
Br  0.1132  0.2500  0.1184 [2 per cell]
Br  0.3612  0.7500  0.8801 [2 per cell]
Br  0.3916  0.7500  0.3734 [2 per cell]

---

[3]
Starting from a PBE-relaxed structure, the XRD peak list of La4POsBr2 was computed for Cu Kα (weighted mean of Kα1 and Kα2).

Peak list (8 most intense, 2θ = 10–90°, in order of rising 2θ)
two_theta  d/Å  I/Imax  index
11.61  7.625  25.6  0 0 1
12.27  7.216  16.5  1 0 0
28.63  3.117  100.0  1 1 1
28.98  3.081  46.3  2 0 -2
40.35  2.235  27.2  1 1 -3
42.02  2.150  37.5  3 1 -1
42.96  2.105  18.2  0 2 0
52.66  1.738  17.6  2 2 -2

Structural model:
Cell lengths 7.5099, 4.2102, 7.9360 Å; angles 90.00, 106.09, 90.00 degrees
Space group P2/m (No. 10)
Asymmetric unit:
La  0.2244  0.0000  0.2023 [2 per cell]
La  0.2521  0.5000  0.8033 [2 per cell]
P  0.5000  0.0000  0.0000 [1 per cell]
Os  0.0000  0.5000  0.0000 [1 per cell]
Br  0.0000  0.0000  0.5000 [1 per cell]
Br  0.5000  0.5000  0.5000 [1 per cell]

---

[4]
Starting from a PBE-relaxed structure, the XRD peak list of La8Os3PtBr3 was computed for Cu Kα (weighted mean of Kα1 and Kα2).

Peak list (8 most intense, 2θ = 10–90°, in order of rising 2θ)
two_theta  d/Å  I/Imax  index
11.43  7.739  52.1  0 0 1
28.80  3.099  100.0  4 0 0
36.53  2.460  21.9  2 2 -3
39.61  2.275  30.7  2 2 2
42.72  2.116  37.8  0 4 0
49.86  1.829  14.1  4 0 -5
52.35  1.748  18.8  4 4 0
59.68  1.549  11.9  8 0 0

Structural model:
Cell lengths 14.6645, 8.4649, 9.1576 Å; angles 90.00, 122.31, 90.00 degrees
Space group C2/m (No. 12)
Asymmetric unit:
La  0.0207  0.2412  0.3039 [8 per cell]
La  0.2333  0.0000  0.6989 [4 per cell]
La  0.2379  0.5000  0.6967 [4 per cell]
Os  0.0000  0.0000  0.5000 [2 per cell]
Os  0.2500  0.2500  0.5000 [4 per cell]
Pt  0.0000  0.5000  0.5000 [2 per cell]
Br  0.0000  0.5000  0.0000 [2 per cell]
Br  0.2500  0.2500  0.0000 [4 per cell]

---

What did the second record say?
Starting from a PBE-relaxed structure, the XRD peak list of La3OsBr3 was computed for Cu Kα (weighted mean of Kα1 and Kα2).

Peak list (8 most intense, 2θ = 10–90°, in order of rising 2θ)
two_theta  d/Å  I/Imax  index
11.71  7.556  24.2  1 0 -1
28.39  3.144  100.0  2 1 0
29.33  3.045  43.5  0 0 4
39.48  2.282  15.9  4 0 0
40.25  2.240  31.7  2 1 -4
41.66  2.168  19.0  0 2 0
42.28  2.137  32.8  2 1 4
51.76  1.766  17.7  0 2 4

Structural model:
Cell lengths 9.1504, 4.3361, 12.2085 Å; angles 90.00, 93.91, 90.00 degrees
Space group P2_1/m (No. 11)
Asymmetric unit:
La  0.0990  0.2500  0.3906 [2 per cell]
La  0.1256  0.2500  0.8437 [2 per cell]
La  0.3288  0.7500  0.6263 [2 per cell]
Os  0.1198  0.2500  0.6296 [2 per cell]
Br  0.1132  0.2500  0.1184 [2 per cell]
Br  0.3612  0.7500  0.8801 [2 per cell]
Br  0.3916  0.7500  0.3734 [2 per cell]